Simulated powder diffraction line list
Compound: CaEr2HgAu4
Radiation: Cu Kα (λ = 1.5418 Å)
Structure: DFT lattice parameters and positions (PBE)

Crystal structure
```
data_CaEr2HgAu4
_cell_length_a 4.9947
_cell_length_b 4.9947
_cell_length_c 24.5402
_cell_angle_alpha 90.00
_cell_angle_beta 90.00
_cell_angle_gamma 120.00
_space_group_name_H-M_alt 'R -3 m'
_space_group_IT_number 166
_space_group_name_Hall '-R 3 2"'
loop_
_atom_site_label
_atom_site_type_symbol
_atom_site_fract_x
_atom_site_fract_y
_atom_site_fract_z
Ca1 Ca 0.0000 0.0000 0.0000
Er1 Er 0.0000 0.0000 0.2426
Hg1 Hg 0.0000 0.0000 0.5000
Au1 Au 0.0000 0.0000 0.1207
Au2 Au 0.0000 0.0000 0.3694
```

Principal peaks in the range 10 to 80 degrees two-theta, by angle:
d = 2.724 Å, 32.88°, I 5; d = 2.500 Å, 35.93°, I 100; d = 1.768 Å, 51.72°, I 17; d = 1.446 Å, 64.46°, I 7; d = 1.442 Å, 64.61°, I 27; d = 1.369 Å, 68.57°, I 4; d = 1.251 Å, 76.08°, I 4; d = 1.249 Å, 76.25°, I 6